Entry 1:
Structure and simulated PXRD pattern of MgSiO6F6 (a PBE-relaxed structure; λ = 1.5418 Å (Cu Kα)).

```
MgSiO6F6
1.0
6.658 0.000 0.000
0.000 9.630 0.000
-3.198 0.000 6.147
Mg Si O F
2 2 12 12
Direct
0.000 0.000 0.000
0.000 0.500 0.500
0.500 0.000 0.500
0.500 0.500 0.000
0.050 0.195 0.826
0.050 0.305 0.326
0.109 0.721 0.189
0.109 0.779 0.689
0.136 0.610 0.297
0.136 0.890 0.797
0.864 0.110 0.203
0.864 0.390 0.703
0.891 0.221 0.311
0.891 0.279 0.811
0.950 0.695 0.674
0.950 0.805 0.174
0.293 0.064 0.549
0.293 0.436 0.049
0.304 0.504 0.711
0.304 0.996 0.211
0.424 0.662 0.027
0.424 0.838 0.527
0.576 0.162 0.473
0.576 0.338 0.973
0.696 0.004 0.789
0.696 0.496 0.289
0.707 0.564 0.951
0.707 0.936 0.451
```

Most intense lines, 2θ = 15–90°, by angle:
two_theta	I_rel
17.11	23.6
17.62	12.6
17.85	100.0
18.43	17.0
23.84	19.9
26.95	37.9
31.86	30.0
32.23	24.0
38.77	12.8
40.60	23.7

Entry 2:
Structure and simulated PXRD pattern of Mg3SiO4F2 (a PBE-relaxed structure; λ = 1.5418 Å (Cu Kα)).

```
Mg3SiO4F2
1.0
10.391 0.000 0.000
0.000 8.842 0.000
0.000 0.000 4.760
Mg Si O F
12 4 16 8
Direct
0.093 0.250 0.006
0.133 0.570 0.510
0.133 0.930 0.510
0.367 0.070 0.010
0.367 0.430 0.010
0.407 0.750 0.506
0.593 0.250 0.494
0.633 0.570 0.990
0.633 0.930 0.990
0.867 0.070 0.490
0.867 0.430 0.490
0.907 0.750 0.994
0.220 0.750 0.080
0.280 0.250 0.580
0.720 0.750 0.420
0.780 0.250 0.920
0.074 0.750 0.222
0.209 0.103 0.732
0.209 0.397 0.732
0.221 0.750 0.738
0.279 0.250 0.238
0.291 0.603 0.232
0.291 0.897 0.232
0.426 0.250 0.722
0.574 0.750 0.278
0.709 0.103 0.768
0.709 0.397 0.768
0.721 0.750 0.762
0.779 0.250 0.262
0.791 0.603 0.268
0.791 0.897 0.268
0.926 0.250 0.778
0.033 0.084 0.272
0.033 0.416 0.272
0.467 0.584 0.772
0.467 0.916 0.772
0.533 0.084 0.228
0.533 0.416 0.228
0.967 0.584 0.728
0.967 0.916 0.728
```

Most intense lines, 2θ = 15–90°, by angle:
two_theta	I_rel
28.87	100.0
33.56	70.0
36.90	32.0
38.03	28.6
39.52	38.7
39.94	72.0
52.12	32.2
52.46	73.6
62.17	43.1
63.08	29.4

Entry 3:
Structure and simulated PXRD pattern of MgSiO6F6 (a PBE-relaxed structure; λ = 1.5418 Å (Cu Kα)).

```
MgSiO6F6
1.0
5.998 0.000 0.000
0.000 9.978 0.000
-0.850 0.000 6.293
Mg Si O F
2 2 12 12
Direct
0.000 0.000 0.000
0.000 0.500 0.500
0.500 0.000 0.500
0.500 0.500 0.000
0.012 0.171 0.731
0.012 0.329 0.231
0.093 0.729 0.336
0.093 0.771 0.836
0.305 0.087 0.073
0.305 0.413 0.573
0.695 0.587 0.427
0.695 0.913 0.927
0.907 0.229 0.164
0.907 0.271 0.664
0.988 0.671 0.769
0.988 0.829 0.269
0.258 0.094 0.416
0.258 0.406 0.916
0.340 0.614 0.101
0.340 0.886 0.601
0.461 0.584 0.755
0.461 0.916 0.255
0.539 0.084 0.745
0.539 0.416 0.245
0.660 0.114 0.399
0.660 0.386 0.899
0.742 0.594 0.084
0.742 0.906 0.584
```

Most intense lines, 2θ = 15–90°, by angle:
two_theta	I_rel
16.66	26.7
17.78	40.8
21.11	100.0
23.28	76.1
23.67	20.2
33.68	32.6
38.80	23.9
39.59	51.2
46.99	37.6
53.94	16.8

Entry 4:
Structure and simulated PXRD pattern of MgPdF6 (a PBE-relaxed structure; λ = 1.5418 Å (Cu Kα)).

```
MgPdF6
1.0
2.553 1.474 4.567
-2.553 1.474 4.567
0.000 -2.948 4.567
Mg Pd F
1 1 6
Direct
0.000 0.000 0.000
0.500 0.500 0.500
0.122 0.742 0.389
0.258 0.611 0.878
0.389 0.122 0.742
0.611 0.878 0.258
0.742 0.389 0.122
0.878 0.258 0.611
```

Most intense lines, 2θ = 15–90°, by angle:
two_theta	I_rel
19.44	17.7
21.11	45.7
23.95	100.0
33.08	28.5
40.48	35.0
49.04	16.6
53.86	32.2
56.68	14.3
61.75	11.4
63.06	13.9

Entry 5:
Structure and simulated PXRD pattern of MgRhF6 (a PBE-relaxed structure; λ = 1.5418 Å (Cu Kα)).

```
MgRhF6
1.0
2.583 1.491 4.566
-2.583 1.491 4.566
0.000 -2.982 4.566
Mg Rh F
1 1 6
Direct
0.000 0.000 0.000
0.500 0.500 0.500
0.133 0.377 0.743
0.257 0.867 0.623
0.377 0.743 0.133
0.623 0.257 0.867
0.743 0.133 0.377
0.867 0.623 0.257
```

Most intense lines, 2θ = 15–90°, by angle:
two_theta	I_rel
19.44	15.9
20.89	42.0
23.76	100.0
32.94	24.6
40.11	32.1
48.62	17.9
53.57	30.0
56.02	14.0
61.13	10.5
62.26	12.5

Entry 6:
Structure and simulated PXRD pattern of MgSnF5 (a PBE-relaxed structure; λ = 1.5418 Å (Cu Kα)).

```
MgSnF5
1.0
4.545 -3.287 0.000
4.545 3.287 0.000
-3.702 0.000 7.258
Mg Sn F
2 2 10
Direct
0.012 0.988 0.750
0.988 0.012 0.250
0.500 0.500 0.000
0.500 0.500 0.500
0.174 0.793 0.060
0.203 0.276 0.360
0.207 0.826 0.440
0.276 0.203 0.860
0.358 0.642 0.750
0.642 0.358 0.250
0.724 0.797 0.140
0.793 0.174 0.560
0.797 0.724 0.640
0.826 0.207 0.940
```

Most intense lines, 2θ = 15–90°, by angle:
two_theta	I_rel
17.37	73.8
21.95	76.9
24.39	21.1
24.53	19.3
25.73	100.0
27.13	36.2
36.84	18.5
44.77	23.4
47.09	32.9
52.48	25.1

Entry 7:
Structure and simulated PXRD pattern of MgSnF5 (a PBE-relaxed structure; λ = 1.5418 Å (Cu Kα)).

```
MgSnF5
1.0
5.364 0.000 0.000
0.000 10.309 0.000
-2.351 0.000 7.711
Mg Sn F
4 4 20
Direct
0.012 0.007 0.211
0.012 0.493 0.711
0.988 0.507 0.289
0.988 0.993 0.789
0.405 0.238 0.612
0.405 0.262 0.112
0.595 0.738 0.888
0.595 0.762 0.388
0.114 0.101 0.627
0.114 0.399 0.127
0.144 0.096 0.007
0.144 0.404 0.507
0.255 0.641 0.325
0.255 0.859 0.825
0.318 0.179 0.339
0.318 0.321 0.839
0.342 0.586 0.783
0.342 0.914 0.283
0.658 0.086 0.717
0.658 0.414 0.217
0.682 0.679 0.161
0.682 0.821 0.661
0.745 0.141 0.175
0.745 0.359 0.675
0.856 0.596 0.493
0.856 0.904 0.993
0.886 0.601 0.873
0.886 0.899 0.373
```

Most intense lines, 2θ = 15–90°, by angle:
two_theta	I_rel
17.23	70.6
19.32	57.2
24.48	100.0
24.65	94.5
26.01	60.3
35.97	18.0
42.34	23.1
44.05	33.9
48.65	25.2
50.92	26.4

Entry 8:
Structure and simulated PXRD pattern of MgSnF4 (a PBE-relaxed structure; λ = 1.5418 Å (Cu Kα)).

```
MgSnF4
1.0
6.581 -2.766 0.000
6.581 2.766 0.000
-1.641 0.000 4.813
Mg Sn F
2 2 8
Direct
0.000 0.000 0.000
0.534 0.466 0.500
0.328 0.081 0.721
0.919 0.672 0.279
0.112 0.163 0.313
0.208 0.687 0.208
0.298 0.406 0.530
0.313 0.792 0.792
0.594 0.702 0.470
0.712 0.156 0.211
0.837 0.888 0.687
0.844 0.288 0.789
```

Most intense lines, 2θ = 15–90°, by angle:
two_theta	I_rel
23.80	78.5
26.83	91.2
27.20	100.0
28.44	77.6
35.51	31.8
39.67	34.0
41.43	38.2
43.77	41.9
48.71	29.3
51.72	32.5

Entry 9:
Structure and simulated PXRD pattern of SrMgF4 (a PBE-relaxed structure; λ = 1.5418 Å (Cu Kα)).

```
SrMgF4
1.0
2.039 -7.514 0.000
2.039 7.514 0.000
0.000 0.000 5.601
Sr Mg F
2 2 8
Direct
0.169 0.831 0.750
0.831 0.169 0.250
0.412 0.588 0.750
0.588 0.412 0.250
0.101 0.899 0.250
0.314 0.686 0.502
0.314 0.686 0.998
0.500 0.500 0.000
0.500 0.500 0.500
0.686 0.314 0.002
0.686 0.314 0.498
0.899 0.101 0.750
```

Most intense lines, 2θ = 15–90°, by angle:
two_theta	I_rel
27.71	100.0
28.22	42.5
28.61	90.2
39.49	32.9
40.16	23.1
40.62	22.8
43.15	55.8
44.44	38.8
49.81	34.9
53.71	29.1